(1)
Starting from DFT lattice parameters and positions (GGA-PBE), the powder diffractogram of ScCd9Ag3 was simulated for copper Kα.
Lines closer than 0.1° are merged.

Crystal structure
```
13
Lattice="2.783 -7.037 0.000 2.783 7.037 0.000 -2.736 0.000 7.076" Properties=species:S:1:pos:R:3 pbc="T T T"
Sc 0.000 0.000 0.000
Cd 0.048 4.581 4.672
Cd 0.004 1.477 5.618
Cd 2.781 4.581 2.404
Cd 0.004 -1.477 5.618
Cd 1.414 0.000 3.538
Cd 2.825 1.477 1.458
Cd 0.048 -4.581 4.672
Cd 2.825 -1.477 1.458
Cd 2.781 -4.581 2.404
Ag -1.368 0.000 3.538
Ag 1.391 3.519 0.000
Ag 1.391 -3.519 0.000
```

Most intense lines, 2θ from 10° to 80°, sorted by position:
2θ/deg, I/Imax
36.02, 100
36.31, 82
36.92, 37
37.07, 40
40.33, 38
40.52, 45
41.14, 33
41.38, 85


(2)
Starting from DFT lattice parameters and positions (GGA-PBE), the powder diffractogram of ScCd4Ag7 was simulated for copper Kα.
Lines closer than 0.1° are merged.

Crystal structure
```
12
Lattice="4.760 0.000 0.000 -2.380 4.122 0.000 0.000 0.000 11.732" Properties=species:S:1:pos:R:3 pbc="T T T"
Sc 0.000 0.000 0.000
Cd 0.000 2.748 1.920
Cd 0.000 2.748 4.911
Cd 2.380 1.374 6.821
Cd 2.380 1.374 9.813
Ag 0.000 0.000 2.963
Ag 0.000 0.000 5.866
Ag 0.000 0.000 8.770
Ag 0.000 2.748 7.861
Ag 0.000 2.748 10.729
Ag 2.380 1.374 1.003
Ag 2.380 1.374 3.872
```

Most intense lines, 2θ from 10° to 80°, sorted by position:
2θ/deg, I/Imax
22.87, 2
26.43, 1
37.64, 100
37.80, 99
54.41, 33
67.83, 16
68.15, 32
68.26, 16


(3)
Starting from DFT lattice parameters and positions (GGA-PBE), the powder diffractogram of Sc3Cd3Ag2 was simulated for copper Kα.
Lines closer than 0.1° are merged.

Crystal structure
```
8
Lattice="7.573 0.000 0.000 -3.786 6.558 0.000 0.000 0.000 3.451" Properties=species:S:1:pos:R:3 pbc="T T T"
Sc -2.237 3.875 0.000
Sc 1.549 2.684 0.000
Sc 4.474 0.000 0.000
Cd -0.877 1.519 1.726
Cd 1.754 0.000 1.726
Cd 2.909 5.039 1.726
Ag 0.000 4.372 1.726
Ag 3.786 2.186 1.726
```

Most intense lines, 2θ from 10° to 80°, sorted by position:
2θ/deg, I/Imax
25.81, 46
35.18, 81
36.24, 100
37.84, 49
41.30, 21
45.03, 60
65.96, 32
71.35, 28


(4)
Starting from DFT lattice parameters and positions (GGA-PBE), the powder diffractogram of ScCd3Ag was simulated for copper Kα.
Lines closer than 0.1° are merged.

Crystal structure
```
10
Lattice="7.263 -2.414 0.000 7.263 2.414 0.000 -1.605 0.000 6.096" Properties=species:S:1:pos:R:3 pbc="T T T"
Sc 0.824 0.000 2.744
Sc 12.097 0.000 3.352
Cd -0.088 0.000 5.687
Cd 3.816 0.000 1.626
Cd 3.441 0.000 4.739
Cd 9.480 0.000 1.357
Cd 9.105 0.000 4.470
Cd 13.009 0.000 0.409
Ag 6.652 0.000 1.635
Ag 6.270 0.000 4.461
```

Most intense lines, 2θ from 10° to 80°, sorted by position:
2θ/deg, I/Imax
29.30, 21
33.67, 36
35.98, 21
36.78, 81
37.02, 100
37.25, 58
42.20, 16
51.08, 21


(5)
Starting from DFT lattice parameters and positions (GGA-PBE), the powder diffractogram of Sc5CdAg6 was simulated for copper Kα.
Lines closer than 0.1° are merged.

Crystal structure
```
12
Lattice="4.198 -7.257 0.000 4.198 7.257 0.000 -2.778 0.000 3.950" Properties=species:S:1:pos:R:3 pbc="T T T"
Sc 0.000 0.000 0.000
Sc 2.809 4.797 1.975
Sc 4.198 2.351 0.000
Sc 4.198 -2.351 0.000
Sc 2.809 -4.797 1.975
Cd 2.809 0.000 1.975
Ag 1.345 2.482 0.947
Ag -0.055 0.000 2.905
Ag 1.345 -2.482 0.947
Ag 4.273 2.482 3.003
Ag 5.673 0.000 1.044
Ag 4.273 -2.482 3.003
```

Most intense lines, 2θ from 10° to 80°, sorted by position:
2θ/deg, I/Imax
26.07, 11
37.13, 100
37.24, 20
53.36, 6
53.63, 13
66.85, 12
67.01, 19
79.07, 7


(6)
Starting from DFT lattice parameters and positions (GGA-PBE), the powder diffractogram of Sc2Cd3Ag2 was simulated for copper Kα.
Lines closer than 0.1° are merged.

Crystal structure
```
7
Lattice="2.282 -10.149 0.000 2.282 10.149 0.000 0.000 0.000 3.188" Properties=species:S:1:pos:R:3 pbc="T T T"
Sc 2.282 6.903 0.000
Sc 2.282 -6.903 0.000
Cd 0.000 0.000 0.000
Cd 2.282 1.509 1.594
Cd 2.282 -1.509 1.594
Ag 2.282 4.304 1.594
Ag 2.282 -4.304 1.594
```

Most intense lines, 2θ from 10° to 80°, sorted by position:
2θ/deg, I/Imax
34.60, 100
36.72, 95
38.81, 41
39.49, 42
45.70, 17
46.79, 17
56.57, 26
70.50, 26


(7)
Starting from DFT lattice parameters and positions (GGA-PBE), the powder diffractogram of ScCd5Ag was simulated for copper Kα.
Lines closer than 0.1° are merged.

Crystal structure
```
14
Lattice="5.240 -3.005 0.000 5.240 3.005 0.000 -2.324 0.000 10.220" Properties=species:S:1:pos:R:3 pbc="T T T"
Sc 3.497 1.790 7.665
Sc 4.659 -1.790 2.555
Cd 0.282 0.250 5.498
Cd 1.444 -0.250 0.388
Cd 0.852 0.337 8.365
Cd 4.659 1.221 2.555
Cd 2.014 -0.337 3.255
Cd 6.142 0.337 6.965
Cd 3.497 -1.221 7.665
Cd 7.304 -0.337 1.855
Cd 6.712 0.250 9.832
Cd 7.874 -0.250 4.722
Ag 5.240 0.000 0.000
Ag 4.078 0.000 5.110
```

Most intense lines, 2θ from 10° to 80°, sorted by position:
2θ/deg, I/Imax
29.73, 65
30.16, 60
34.63, 78
34.76, 60
35.12, 54
35.64, 92
37.11, 73
37.92, 100


(8)
Starting from DFT lattice parameters and positions (GGA-PBE), the powder diffractogram of Sc2Cd5Ag2 was simulated for copper Kα.
Lines closer than 0.1° are merged.

Crystal structure
```
18
Lattice="-4.918 7.799 2.597 4.918 -7.799 2.597 4.918 7.799 -2.597" Properties=species:S:1:pos:R:3 pbc="T T T"
Sc 2.459 10.043 -1.299
Sc 2.459 2.244 1.299
Sc -2.459 5.555 1.299
Sc 2.459 5.555 1.299
Cd 4.918 2.231 -0.552
Cd 2.459 7.037 -1.299
Cd 2.459 -0.762 1.299
Cd 4.918 5.568 -0.552
Cd 0.000 3.900 0.571
Cd 4.918 3.900 2.026
Cd 0.000 2.231 3.150
Cd -2.459 8.561 1.299
Cd 2.459 8.561 1.299
Cd 0.000 5.568 3.150
Ag 0.000 0.000 0.000
Ag 2.459 3.900 -1.299
Ag 2.459 -3.900 1.299
Ag 0.000 7.799 0.000
```

Most intense lines, 2θ from 10° to 80°, sorted by position:
2θ/deg, I/Imax
18.00, 18
30.06, 62
36.23, 24
36.54, 55
38.31, 100
39.22, 51
39.89, 30
73.43, 22